No. 1
Theoretical powder XRD pattern of Sc2Nb4Ge3C3 for Cu Ka, from a cell relaxed with PBE.
Lines closer than 0.1° are merged.

Top 6 peaks for 10 to 90 degrees two-theta, most intense first:
| (hkl) | d/Å | intensity |
| --- | --- | --- |
| 3 1 -4 | 2.365 | 1000 |
| 3 1 2 | 2.359 | 492 |
| 3 1 -1 | 2.778 | 328 |
| 6 0 -2 | 1.604 | 299 |
| 0 0 6 | 2.247 | 255 |
| 3 1 -7 | 1.749 | 143 |

Structure:
abc: 9.6183 5.5600 13.8709
angles: 90.00 103.59 90.00
Space group C2/c (No. 15)
Asymmetric unit:
Sc 0.0470 0.0810 0.4006 (multiplicity 8)
Nb 0.1126 0.4105 0.5875 (multiplicity 8)
Nb 0.2234 0.4190 0.9124 (multiplicity 8)
Ge 0.0000 0.4500 0.2500 (multiplicity 4)
Ge 0.1821 0.0967 0.7513 (multiplicity 8)
C 0.0847 0.2535 0.0001 (multiplicity 8)
C 0.2500 0.2500 0.5000 (multiplicity 4)

=====

No. 2
Theoretical powder XRD pattern of Nb4SnGeC2 for Cu Ka, from a cell relaxed with PBE.
Lines closer than 0.1° are merged.

Top 6 peaks for 10 to 90 degrees two-theta, most intense first:
| (hkl) | d/Å | intensity |
| --- | --- | --- |
| 1 0 3 | 2.383 | 1000 |
| 1 0 0 | 2.822 | 243 |
| 1 1 0 | 1.629 | 223 |
| 1 1 6 | 1.314 | 167 |
| 2 0 3 | 1.345 | 160 |
| 0 0 6 | 2.224 | 151 |

Structure:
abc: 3.2588 3.2588 13.3456
angles: 90.00 90.00 120.00
Space group P-6m2 (No. 187)
Asymmetric unit:
Nb 0.0000 0.0000 0.1507 (multiplicity 2)
Nb 0.3333 0.6667 0.3256 (multiplicity 2)
Sn 0.0000 0.0000 0.5000 (multiplicity 1)
Ge 0.3333 0.6667 0.0000 (multiplicity 1)
C 0.6667 0.3333 0.2392 (multiplicity 2)

=====

No. 3
Theoretical powder XRD pattern of Nd15Ge9C for Cu Ka, from a cell relaxed with PBE.
Lines closer than 0.1° are merged.

Top 6 peaks for 10 to 90 degrees two-theta, most intense first:
| (hkl) | d/Å | intensity |
| --- | --- | --- |
| 4 1 1 | 2.656 | 1000 |
| 3 0 2 | 2.698 | 785 |
| 4 1 0 | 2.884 | 372 |
| 3 3 0 | 2.543 | 341 |
| 1 1 2 | 3.115 | 301 |
| 4 4 2 | 1.665 | 281 |

Structure:
abc: 15.2604 15.2604 6.8246
angles: 90.00 90.00 120.00
Space group P6_3mc (No. 186)
Asymmetric unit:
Nd 0.0201 0.3434 0.2722 (multiplicity 12)
Nd 0.0809 0.1618 0.0000 (multiplicity 6)
Nd 0.1752 0.5876 0.9981 (multiplicity 6)
Nd 0.2547 0.5095 0.5603 (multiplicity 6)
Ge 0.0659 0.5329 0.5378 (multiplicity 6)
Ge 0.1320 0.2640 0.5499 (multiplicity 6)
Ge 0.1987 0.3974 0.9815 (multiplicity 6)
C 0.3333 0.6667 0.7755 (multiplicity 2)

=====

No. 4
Theoretical powder XRD pattern of Zr4NiGeC2 for Cu Ka, from a cell relaxed with PBE.
Lines closer than 0.1° are merged.

Top 6 peaks for 10 to 90 degrees two-theta, most intense first:
| (hkl) | d/Å | intensity |
| --- | --- | --- |
| 1 0 3 | 2.422 | 1000 |
| 1 0 0 | 2.882 | 245 |
| 1 1 0 | 1.664 | 235 |
| 2 0 3 | 1.372 | 156 |
| 1 1 6 | 1.335 | 141 |
| 0 0 6 | 2.235 | 128 |

Structure:
abc: 3.3279 3.3279 13.4119
angles: 90.00 90.00 120.00
Space group P-6m2 (No. 187)
Asymmetric unit:
Zr 0.0000 0.0000 0.1432 (multiplicity 2)
Zr 0.6667 0.3333 0.3379 (multiplicity 2)
Ni 0.6667 0.3333 0.0000 (multiplicity 1)
Ge 0.0000 0.0000 0.5000 (multiplicity 1)
C 0.3333 0.6667 0.2435 (multiplicity 2)

=====

What did the first record say?
Theoretical powder XRD pattern of Sc2Nb4Ge3C3 for Cu Ka, from a cell relaxed with PBE.
Lines closer than 0.1° are merged.

Top 6 peaks for 10 to 90 degrees two-theta, most intense first:
| (hkl) | d/Å | intensity |
| --- | --- | --- |
| 3 1 -4 | 2.365 | 1000 |
| 3 1 2 | 2.359 | 492 |
| 3 1 -1 | 2.778 | 328 |
| 6 0 -2 | 1.604 | 299 |
| 0 0 6 | 2.247 | 255 |
| 3 1 -7 | 1.749 | 143 |

Structure:
abc: 9.6183 5.5600 13.8709
angles: 90.00 103.59 90.00
Space group C2/c (No. 15)
Asymmetric unit:
Sc 0.0470 0.0810 0.4006 (multiplicity 8)
Nb 0.1126 0.4105 0.5875 (multiplicity 8)
Nb 0.2234 0.4190 0.9124 (multiplicity 8)
Ge 0.0000 0.4500 0.2500 (multiplicity 4)
Ge 0.1821 0.0967 0.7513 (multiplicity 8)
C 0.0847 0.2535 0.0001 (multiplicity 8)
C 0.2500 0.2500 0.5000 (multiplicity 4)